[1]
Fe2CoO4: computed X-ray powder pattern (CuKα), based on a cell relaxed with PBE+U.
Intensities are scaled so that the largest is 100.

The 6 most intense peaks (15 to 90 degrees two-theta), in order of rising 2θ:
| 2θ (°) | Rel. int. |
| --- | --- |
| 30.1 | 40 |
| 35.4 | 54 |
| 35.6 | 100 |
| 43.4 | 19 |
| 57.3 | 21 |
| 62.6 | 46 |

Cell and atoms:
Cell: 5.9329 5.9329 5.9329 Å, 120.49 120.20 89.40°
Fractional coordinates of all 14 atoms:
Fe (0.0000, 0.0000, 0.0000)
Fe (0.5000, 0.0000, 0.0000)
Fe (0.5000, 0.0000, 0.5000)
Fe (0.5000, 0.5000, 0.5000)
Co (0.1270, 0.3770, 0.7500)
Co (0.8730, 0.6230, 0.2500)
O (0.2639, 0.2426, 0.4787)
O (0.2639, 0.7852, 0.0213)
O (0.2748, 0.2465, 0.0283)
O (0.2818, 0.7535, 0.5283)
O (0.7182, 0.2465, 0.4717)
O (0.7252, 0.7535, 0.9717)
O (0.7361, 0.2148, 0.9787)
O (0.7361, 0.7574, 0.5213)

***

[2]
FeCo2O6: computed X-ray powder pattern (CuKα), based on a cell relaxed with PBE+U.
Intensities are scaled so that the largest is 100.

The 6 most intense peaks (15 to 90 degrees two-theta), in order of rising 2θ:
| 2θ (°) | Rel. int. |
| --- | --- |
| 18.5 | 100 |
| 37.1 | 30 |
| 40.7 | 21 |
| 46.1 | 30 |
| 60.9 | 15 |
| 65.4 | 14 |

Cell and atoms:
Cell: 5.0032 5.0032 9.5814 Å, 90.00 90.00 59.88°
Fractional coordinates of all 18 atoms:
Fe (0.0000, 0.0000, 0.0000)
Fe (0.5000, 0.5000, 0.5000)
Co (0.1667, 0.1667, 0.5000)
Co (0.3333, 0.3333, 0.0000)
Co (0.6667, 0.6667, 0.0000)
Co (0.8333, 0.8333, 0.5000)
O (0.0000, 0.3446, 0.0991)
O (0.0000, 0.6554, 0.9009)
O (0.1554, 0.5000, 0.4009)
O (0.1554, 0.8446, 0.5990)
O (0.3446, 0.0000, 0.9009)
O (0.3446, 0.6554, 0.0990)
O (0.5000, 0.1554, 0.5991)
O (0.5000, 0.8446, 0.4009)
O (0.6554, 0.0000, 0.0991)
O (0.6554, 0.3446, 0.9010)
O (0.8446, 0.1554, 0.4010)
O (0.8446, 0.5000, 0.5991)

***

[3]
FeCo5O12: computed X-ray powder pattern (CuKα), based on a cell relaxed with PBE+U.
Intensities are scaled so that the largest is 100.

The 6 most intense peaks (15 to 90 degrees two-theta), in order of rising 2θ:
| 2θ (°) | Rel. int. |
| --- | --- |
| 18.0 | 100 |
| 37.3 | 27 |
| 40.7 | 19 |
| 45.8 | 27 |
| 59.8 | 14 |
| 65.8 | 13 |

Cell and atoms:
Cell: 4.9716 4.9716 9.8689 Å, 90.01 90.01 120.12°
Fractional coordinates of all 18 atoms:
Fe (0.0000, 0.0000, 0.0000)
Co (0.1667, 0.8333, 0.5000)
Co (0.3334, 0.6666, 0.0000)
Co (0.5000, 0.5000, 0.5000)
Co (0.6666, 0.3334, 0.0000)
Co (0.8333, 0.1667, 0.5000)
O (0.0000, 0.3441, 0.9024)
O (0.0000, 0.6559, 0.0976)
O (0.1666, 0.1666, 0.5947)
O (0.1667, 0.5000, 0.4054)
O (0.3441, 0.0000, 0.9024)
O (0.3441, 0.3441, 0.0976)
O (0.5000, 0.1667, 0.4054)
O (0.5000, 0.8333, 0.5946)
O (0.6559, 0.0000, 0.0976)
O (0.6559, 0.6559, 0.9024)
O (0.8333, 0.5000, 0.5946)
O (0.8334, 0.8334, 0.4053)

***

[4]
Fe2CoO4: computed X-ray powder pattern (CuKα), based on a cell relaxed with PBE+U.
Intensities are scaled so that the largest is 100.

The 6 most intense peaks (15 to 90 degrees two-theta), in order of rising 2θ:
| 2θ (°) | Rel. int. |
| --- | --- |
| 30.1 | 40 |
| 35.4 | 54 |
| 35.6 | 100 |
| 43.4 | 19 |
| 57.3 | 21 |
| 62.6 | 46 |

Cell and atoms:
Cell: 5.9329 5.9329 5.9329 Å, 120.49 120.20 89.40°
Fractional coordinates of all 14 atoms:
Fe (0.0000, 0.0000, 0.0000)
Fe (0.5000, 0.0000, 0.0000)
Fe (0.5000, 0.0000, 0.5000)
Fe (0.5000, 0.5000, 0.5000)
Co (0.1256, 0.3756, 0.7500)
Co (0.8744, 0.6244, 0.2500)
O (0.2625, 0.2412, 0.4787)
O (0.2625, 0.7839, 0.0213)
O (0.2735, 0.2452, 0.0283)
O (0.2832, 0.7548, 0.5283)
O (0.7168, 0.2452, 0.4717)
O (0.7265, 0.7548, 0.9717)
O (0.7375, 0.2161, 0.9787)
O (0.7375, 0.7588, 0.5213)